[1]
Structure and theoretical X-ray diffraction stick pattern of Mg14CuBiO16 (the GGA-PBE geometry in the Materials Project; Cu Kα (λ = 1.5418 Å)).
No peak broadening, texture or thermal motion is included.

```
Mg14CuBiO16
1.0
8.7248 0.0000 0.0000
0.0000 8.7248 0.0000
0.0000 0.0000 4.3654
Mg Cu Bi O
14 1 1 16
direct
0.0000 0.2433 0.0000
0.0000 0.5000 0.5000
0.0000 0.7567 0.0000
0.2326 0.5000 0.0000
0.2368 0.2368 0.5000
0.2368 0.7632 0.5000
0.2433 0.0000 0.0000
0.5000 0.0000 0.5000
0.5000 0.2326 0.0000
0.5000 0.7674 0.0000
0.7567 0.0000 0.0000
0.7632 0.2368 0.5000
0.7632 0.7632 0.5000
0.7674 0.5000 0.0000
0.0000 0.0000 0.5000
0.5000 0.5000 0.5000
0.0000 0.0000 0.0000
0.0000 0.2646 0.5000
0.0000 0.5000 0.0000
0.0000 0.7354 0.5000
0.2348 0.5000 0.5000
0.2513 0.2513 0.0000
0.2513 0.7487 0.0000
0.2646 0.0000 0.5000
0.5000 0.0000 0.0000
0.5000 0.2348 0.5000
0.5000 0.5000 0.0000
0.5000 0.7652 0.5000
0.7354 0.0000 0.5000
0.7487 0.2513 0.0000
0.7487 0.7487 0.0000
0.7652 0.5000 0.5000
```

Most intense lines, 2θ from 15° to 90°, sorted by position:
2θ (°)	I/Imax
20.35	400
22.78	294
24.99	307
28.94	344
30.74	245
32.45	196
35.64	355
38.60	220
41.39	1000
59.96	583

[2]
Structure and theoretical X-ray diffraction stick pattern of Sr2MgCu2Bi2O8 (the GGA-PBE geometry in the Materials Project; Cu Kα (λ = 1.5418 Å)).
No peak broadening, texture or thermal motion is included.

```
Sr2MgCu2Bi2O8
1.0
-1.8008 1.8008 19.1319
1.8008 -1.8008 19.1319
1.8008 1.8008 -19.1319
Sr Mg Cu Bi O
2 1 2 2 8
direct
0.0989 0.0989 0.0000
0.9011 0.9011 0.0000
0.7500 0.2500 0.5000
0.4561 0.4561 0.0000
0.5439 0.5439 0.0000
0.3169 0.3169 0.0000
0.6831 0.6831 0.0000
0.0548 0.5548 0.5000
0.2222 0.2222 0.0000
0.3717 0.3717 0.0000
0.4452 0.9452 0.5000
0.5551 0.0551 0.5000
0.6283 0.6283 0.0000
0.7778 0.7778 0.0000
0.9449 0.4449 0.5000
```

Most intense lines, 2θ from 15° to 90°, sorted by position:
2θ (°)	I/Imax
18.55	461
25.70	291
27.37	1000
32.58	636
32.77	217
35.24	494
39.54	270
48.88	256
50.69	268
58.56	255